Diffraction record for Tm2Si6Pt21. The powder X-ray diffraction pattern is computed, not measured: it uses a cell relaxed with GGA-PBE and a wavelength of 1.5418 Å.

Largest 12 diffraction maxima, sorted by position, 10° ≤ 2θ ≤ 90°:
2θ = 32.6°, intensity 19; 2θ = 35.8°, intensity 24; 2θ = 38.0°, intensity 100; 2θ = 41.6°, intensity 23; 2θ = 43.6°, intensity 29; 2θ = 44.2°, intensity 13; 2θ = 49.2°, intensity 8; 2θ = 64.3°, intensity 26; 2θ = 65.8°, intensity 15; 2θ = 69.7°, intensity 8; 2θ = 75.8°, intensity 18; 2θ = 77.2°, intensity 10

Structure:
```
data_Tm2Si6Pt21
_chemical_formula_sum 'Tm8 Si24 Pt84'
_cell_length_a 12.2906
_cell_length_b 12.2906
_cell_length_c 12.2906
_cell_angle_alpha 90.00
_cell_angle_beta 90.00
_cell_angle_gamma 90.00
_symmetry_space_group_name_H-M 'F m -3 m'
_symmetry_Int_Tables_number 225
_symmetry_space_group_name_Hall '-F 4 2 3'
loop_
_atom_site_label
_atom_site_fract_x
_atom_site_fract_y
_atom_site_fract_z
_atom_site_occupancy
Tm1 0.2500 0.2500 0.2500 1
Si1 0.0000 0.0000 0.2334 1
Pt1 0.0000 0.0000 0.5000 1
Pt2 0.0000 0.1725 0.3275 1
Pt3 0.1170 0.1170 0.1170 1
```

---

Diffraction record for Tm3Si6Pt20. The powder X-ray diffraction pattern is computed, not measured: it uses a cell relaxed with GGA-PBE and a wavelength of 1.5418 Å.

Largest 12 diffraction maxima, sorted by position, 10° ≤ 2θ ≤ 90°:
2θ = 32.5°, intensity 21; 2θ = 35.7°, intensity 24; 2θ = 37.9°, intensity 100; 2θ = 41.4°, intensity 23; 2θ = 43.4°, intensity 31; 2θ = 44.0°, intensity 13; 2θ = 49.0°, intensity 9; 2θ = 64.0°, intensity 26; 2θ = 65.5°, intensity 15; 2θ = 69.4°, intensity 9; 2θ = 75.5°, intensity 18; 2θ = 76.9°, intensity 10

Structure:
```
data_Tm3Si6Pt20
_chemical_formula_sum 'Tm12 Si24 Pt80'
_cell_length_a 12.3374
_cell_length_b 12.3374
_cell_length_c 12.3374
_cell_angle_alpha 90.00
_cell_angle_beta 90.00
_cell_angle_gamma 90.00
_symmetry_space_group_name_H-M 'F m -3 m'
_symmetry_Int_Tables_number 225
_symmetry_space_group_name_Hall '-F 4 2 3'
loop_
_atom_site_label
_atom_site_fract_x
_atom_site_fract_y
_atom_site_fract_z
_atom_site_occupancy
Tm1 0.0000 0.0000 0.0000 1
Tm2 0.2500 0.2500 0.2500 1
Si1 0.0000 0.0000 0.2679 1
Pt1 0.0000 0.1722 0.1722 1
Pt2 0.1174 0.1174 0.3826 1
```

---

Diffraction record for Tm4SiPt3. The powder X-ray diffraction pattern is computed, not measured: it uses a cell relaxed with GGA-PBE and a wavelength of 1.5418 Å.

Largest 12 diffraction maxima, sorted by position, 10° ≤ 2θ ≤ 90°:
2θ = 32.6°, intensity 100; 2θ = 33.8°, intensity 29; 2θ = 34.5°, intensity 22; 2θ = 40.1°, intensity 24; 2θ = 40.7°, intensity 63; 2θ = 42.7°, intensity 28; 2θ = 47.4°, intensity 20; 2θ = 55.6°, intensity 14; 2θ = 63.8°, intensity 13; 2θ = 65.7°, intensity 16; 2θ = 66.3°, intensity 13; 2θ = 82.2°, intensity 14

Structure:
```
data_Tm4SiPt3
_chemical_formula_sum 'Tm4 Si1 Pt3'
_cell_length_a 3.8352
_cell_length_b 4.2338
_cell_length_c 10.6050
_cell_angle_alpha 90.00
_cell_angle_beta 90.00
_cell_angle_gamma 90.00
_symmetry_space_group_name_H-M 'P m m 2'
_symmetry_Int_Tables_number 25
loop_
_symmetry_equiv_pos_as_xyz
'x,y,z'
'-x,-y,z'
'-x,y,z'
'x,-y,z'
loop_
_atom_site_label
_atom_site_fract_x
_atom_site_fract_y
_atom_site_fract_z
_atom_site_occupancy
Tm1 0.0000 0.0000 0.0000 1
Tm2 0.0000 0.5000 0.2815 1
Tm3 0.5000 0.0000 0.5005 1
Tm4 0.5000 0.5000 0.7860 1
Si1 0.5000 0.0000 0.2186 1
Pt1 0.0000 0.0000 0.7297 1
Pt2 0.0000 0.5000 0.5499 1
Pt3 0.5000 0.5000 0.0652 1
```

---

Diffraction record for Tm2Si3Pt2. The powder X-ray diffraction pattern is computed, not measured: it uses a cell relaxed with GGA-PBE and a wavelength of 1.5418 Å.

Largest 12 diffraction maxima, sorted by position, 10° ≤ 2θ ≤ 90°:
2θ = 10.1°, intensity 93; 2θ = 26.5°, intensity 31; 2θ = 27.8°, intensity 32; 2θ = 33.3°, intensity 33; 2θ = 33.6°, intensity 37; 2θ = 34.4°, intensity 100; 2θ = 36.1°, intensity 89; 2θ = 37.4°, intensity 63; 2θ = 42.9°, intensity 29; 2θ = 44.1°, intensity 49; 2θ = 44.6°, intensity 53; 2θ = 64.5°, intensity 38

Structure:
```
data_Tm2Si3Pt2
_chemical_formula_sum 'Tm8 Si12 Pt8'
_cell_length_a 4.1067
_cell_length_b 17.5352
_cell_length_c 6.8864
_cell_angle_alpha 90.00
_cell_angle_beta 90.00
_cell_angle_gamma 90.00
_symmetry_space_group_name_H-M 'C m c m'
_symmetry_Int_Tables_number 63
_symmetry_space_group_name_Hall '-C 2c 2'
loop_
_atom_site_label
_atom_site_fract_x
_atom_site_fract_y
_atom_site_fract_z
_atom_site_occupancy
Tm1 0.0000 0.0554 0.2500 1
Tm2 0.0000 0.1528 0.7500 1
Si1 0.0000 0.2262 0.2500 1
Si2 0.0000 0.4404 0.0728 1
Pt1 0.0000 0.3100 0.5461 1
```

---

Diffraction record for TmSi2Pt5. The powder X-ray diffraction pattern is computed, not measured: it uses a cell relaxed with GGA-PBE and a wavelength of 1.5418 Å.

Largest 12 diffraction maxima, sorted by position, 10° ≤ 2θ ≤ 90°:
2θ = 15.5°, intensity 16; 2θ = 31.3°, intensity 27; 2θ = 35.7°, intensity 100; 2θ = 36.0°, intensity 96; 2θ = 45.1°, intensity 63; 2θ = 47.1°, intensity 28; 2θ = 47.7°, intensity 12; 2θ = 64.8°, intensity 14; 2θ = 67.3°, intensity 27; 2θ = 77.5°, intensity 19; 2θ = 80.0°, intensity 10; 2θ = 80.2°, intensity 12

Structure:
```
data_TmSi2Pt5
_chemical_formula_sum 'Tm2 Si4 Pt10'
_cell_length_a 3.8596
_cell_length_b 7.0473
_cell_length_c 9.7865
_cell_angle_alpha 90.00
_cell_angle_beta 90.00
_cell_angle_gamma 90.00
_symmetry_space_group_name_H-M 'I m m m'
_symmetry_Int_Tables_number 71
_symmetry_space_group_name_Hall '-I 2 2'
loop_
_atom_site_label
_atom_site_fract_x
_atom_site_fract_y
_atom_site_fract_z
_atom_site_occupancy
Tm1 0.0000 0.0000 0.0000 1
Si1 0.0000 0.5000 0.2471 1
Pt1 0.0000 0.2052 0.3546 1
Pt2 0.0000 0.5000 0.0000 1
```

---

Diffraction record for Y2TmSi3Pt12. The powder X-ray diffraction pattern is computed, not measured: it uses a cell relaxed with GGA-PBE and a wavelength of 1.5418 Å.

Largest 12 diffraction maxima, sorted by position, 10° ≤ 2θ ≤ 90°:
2θ = 23.8°, intensity 25; 2θ = 32.1°, intensity 100; 2θ = 34.4°, intensity 28; 2θ = 38.9°, intensity 20; 2θ = 43.4°, intensity 64; 2θ = 48.6°, intensity 41; 2θ = 49.0°, intensity 11; 2θ = 55.0°, intensity 17; 2θ = 67.2°, intensity 13; 2θ = 72.6°, intensity 12; 2θ = 79.7°, intensity 17; 2θ = 83.5°, intensity 11

Structure:
```
data_Y2TmSi3Pt12
_chemical_formula_sum 'Y6 Tm3 Si9 Pt36'
_cell_length_a 8.3349
_cell_length_b 8.3349
_cell_length_c 17.5297
_cell_angle_alpha 90.00
_cell_angle_beta 90.00
_cell_angle_gamma 120.00
_symmetry_space_group_name_H-M 'R -3 m'
_symmetry_Int_Tables_number 166
_symmetry_space_group_name_Hall '-R 3 2"'
loop_
_atom_site_label
_atom_site_fract_x
_atom_site_fract_y
_atom_site_fract_z
_atom_site_occupancy
Y1 0.0000 0.0000 0.0968 1
Tm1 0.0000 0.0000 0.5000 1
Si1 0.0000 0.5000 0.0000 1
Pt1 0.0302 0.5151 0.3683 1
Pt2 0.0316 0.5158 0.8662 1
```